No. 1
Calculated X-ray powder pattern
Compound: SiHgOs2
Radiation: copper Kα
Structure: a cell relaxed with PBE
No peak broadening, texture or thermal motion is included.

Cell and atoms:
```
SiHgOs2
1.0
2.903 0.000 0.000
0.000 4.897 0.000
0.000 0.000 8.944
Si Hg Os
2 2 4
Direct
0.000 0.000 0.000
0.500 0.500 0.000
0.000 0.000 0.500
0.500 0.500 0.500
0.000 0.500 0.209
0.000 0.500 0.791
0.500 0.000 0.209
0.500 0.000 0.791
```

Most intense lines, 15 to 90 degrees two-theta, in order of falling intensity:
d (Å), 2theta, I_rel
2.180, 41.41, 100.0
2.448, 36.70, 41.2
2.981, 29.97, 36.0
2.405, 37.39, 31.0
1.454, 64.03, 25.9
1.356, 69.30, 22.2
1.892, 48.09, 20.1
2.236, 40.33, 15.5

---

No. 2
Calculated X-ray powder pattern
Compound: Sm7Hg2Os2
Radiation: copper Kα
Structure: a cell relaxed with PBE
No peak broadening, texture or thermal motion is included.

Cell and atoms:
```
Sm7Hg2Os2
1.0
4.105 -5.528 0.000
4.105 5.528 0.000
0.000 0.000 7.259
Sm Hg Os
7 2 2
Direct
0.000 0.000 0.000
0.000 0.500 0.251
0.000 0.500 0.749
0.500 0.000 0.251
0.500 0.000 0.749
0.500 0.500 0.241
0.500 0.500 0.759
0.180 0.180 0.500
0.820 0.820 0.500
0.292 0.708 0.000
0.708 0.292 0.000
```

Most intense lines, 15 to 90 degrees two-theta, in order of falling intensity:
d (Å), 2theta, I_rel
2.440, 36.84, 100.0
2.764, 32.39, 53.7
3.574, 24.92, 49.5
2.467, 36.43, 45.6
4.398, 20.19, 38.8
3.180, 28.06, 31.7
2.103, 43.01, 22.9
1.815, 50.27, 19.4

---

No. 3
Calculated X-ray powder pattern
Compound: Sm6Hg2Os
Radiation: copper Kα
Structure: a cell relaxed with PBE
No peak broadening, texture or thermal motion is included.

Cell and atoms:
```
Sm6Hg2Os
1.0
-4.882 5.070 5.182
4.882 -5.070 5.182
4.882 5.070 -5.182
Sm Hg Os
12 4 2
Direct
0.078 0.245 0.833
0.182 0.269 0.451
0.182 0.731 0.914
0.265 0.598 0.333
0.265 0.932 0.667
0.412 0.245 0.167
0.588 0.755 0.833
0.735 0.068 0.333
0.735 0.402 0.667
0.818 0.269 0.086
0.818 0.731 0.549
0.922 0.755 0.167
0.355 0.000 0.355
0.500 0.355 0.855
0.500 0.645 0.145
0.645 0.000 0.645
0.000 0.000 0.000
0.000 0.500 0.500
```

Most intense lines, 15 to 90 degrees two-theta, in order of falling intensity:
d (Å), 2theta, I_rel
2.719, 32.94, 100.0
2.684, 33.38, 76.7
2.660, 33.70, 75.3
2.591, 34.62, 75.0
2.910, 30.73, 64.1
2.165, 41.71, 39.5
3.104, 28.76, 29.0
1.416, 65.99, 20.2

---

No. 4
Calculated X-ray powder pattern
Compound: Sm6Hg2Os
Radiation: copper Kα
Structure: a cell relaxed with PBE
No peak broadening, texture or thermal motion is included.

Cell and atoms:
```
Sm6Hg2Os
1.0
7.055 0.000 0.000
0.000 7.596 0.000
-6.989 0.000 10.445
Sm Hg Os
12 4 2
Direct
0.133 0.013 0.248
0.133 0.487 0.748
0.230 0.689 0.053
0.230 0.811 0.553
0.366 0.189 0.054
0.366 0.311 0.554
0.634 0.689 0.446
0.634 0.811 0.946
0.770 0.189 0.447
0.770 0.311 0.947
0.867 0.513 0.252
0.867 0.987 0.752
0.293 0.098 0.751
0.293 0.402 0.251
0.707 0.598 0.749
0.707 0.902 0.249
0.500 0.000 0.500
0.500 0.500 0.000
```

Most intense lines, 15 to 90 degrees two-theta, in order of falling intensity:
d (Å), 2theta, I_rel
3.054, 29.24, 100.0
3.070, 29.09, 88.1
2.611, 34.34, 67.6
2.817, 31.77, 58.6
2.566, 34.96, 57.3
3.130, 28.52, 56.8
3.182, 28.04, 54.2
2.383, 37.75, 54.0